Structure and theoretical XRD peak list of Sn2Bi3Pd4 (a PBE-relaxed structure; Cu Kα, 1.54184 Å).

Peak list (6 most intense, 2θ from 10° to 90°, by intensity)
hkl 3 1 0, 2.729 Å, intensity 100
hkl 1 1 3, 2.326 Å, intensity 94
hkl 3 1 -2, 2.457 Å, intensity 71
hkl 0 2 0, 2.175 Å, intensity 64
hkl 2 0 -3, 2.768 Å, intensity 55
hkl 1 1 -2, 3.072 Å, intensity 55

a b c (Å): 10.629 4.350 9.010
angles (deg): 90.00 98.56 90.00
Space group C2/m (No. 12)
One atom of each set of equivalent atoms:
Sn1 0.164 0.000 0.296 [4 per cell]
Bi1 0.000 0.500 0.500 [2 per cell]
Bi2 0.126 0.000 0.897 [4 per cell]
Pd1 0.099 0.500 0.121 [4 per cell]
Pd2 0.200 0.000 0.599 [4 per cell]



Structure and theoretical XRD peak list of Pa2CrOsN6 (a PBE-relaxed structure; Cu Kα, 1.54184 Å).

Peak list (6 most intense, 2θ from 10° to 90°, by intensity)
hkl 1 1 1, 2.815 Å, intensity 100
hkl 2 0 0, 2.770 Å, intensity 59
hkl 3 1 1, 1.608 Å, intensity 39
hkl 2 2 0, 1.959 Å, intensity 29
hkl 1 1 2, 1.798 Å, intensity 27
hkl 0 0 1, 4.047 Å, intensity 26

a b c (Å): 5.540 5.540 4.047
angles (deg): 90.00 90.00 90.00
Space group P4mm (No. 99)
One atom of each set of equivalent atoms:
Pa1 0.000 0.500 0.000 [2 per cell]
Cr1 0.000 0.000 0.592 [1 per cell]
Os1 0.500 0.500 0.671 [1 per cell]
N1 0.000 0.000 0.184 [1 per cell]
N2 0.240 0.240 0.717 [4 per cell]
N3 0.500 0.500 0.175 [1 per cell]



Structure and theoretical XRD peak list of KTl5Hg2 (a PBE-relaxed structure; Cu Kα, 1.54184 Å).

Peak list (6 most intense, 2θ from 10° to 90°, by intensity)
hkl 4 2 0, 2.794 Å, intensity 100
hkl 0 4 0, 2.567 Å, intensity 35
hkl 1 3 -1, 2.489 Å, intensity 35
hkl 0 2 1, 2.901 Å, intensity 31
hkl 1 1 0, 8.132 Å, intensity 31
hkl 2 2 -1, 2.882 Å, intensity 30

a b c (Å): 13.743 10.267 3.628
angles (deg): 90.00 104.20 90.00
Space group C2/m (No. 12)
One atom of each set of equivalent atoms:
K1 0.000 0.000 0.000 [2 per cell]
Tl1 0.000 0.500 0.000 [2 per cell]
Tl2 0.136 0.276 0.634 [8 per cell]
Hg1 0.240 0.000 0.738 [4 per cell]